Structure and calculated powder diffractogram of In3Bi3Pb4 (DFT lattice parameters and positions (PBE); copper Kα).

Cell: 9.489 9.489 9.489 Å, 115.01 113.21 100.55°
Positions (direct):
In (0.152, 0.402, 0.750)
In (0.250, 0.643, 0.393)
In (0.348, 0.098, 0.250)
In (0.564, 0.250, 0.814)
In (0.750, 0.857, 0.107)
In (0.936, 0.750, 0.686)
Bi (0.099, 0.250, 0.349)
Bi (0.250, 0.161, 0.911)
Bi (0.401, 0.750, 0.151)
Bi (0.652, 0.902, 0.750)
Bi (0.750, 0.339, 0.589)
Bi (0.848, 0.598, 0.250)
Pb (0.005, 0.684, 0.012)
Pb (0.172, 0.993, 0.488)
Pb (0.328, 0.816, 0.821)
Pb (0.495, 0.507, 0.679)
Pb (0.536, 0.519, 0.328)
Pb (0.691, 0.208, 0.172)
Pb (0.809, 0.981, 0.517)
Pb (0.964, 0.292, 0.983)

Peak list (8 most intense, 5° ≤ 2θ ≤ 70°, sorted by position)
28.55°, I = 23; 29.28°, I = 82; 31.36°, I = 98; 31.99°, I = 100; 34.19°, I = 48; 36.28°, I = 26; 42.15°, I = 28; 48.48°, I = 28